# 1
This entry pairs a crystal structure of La5Nd5Sm with its calculated PXRD pattern. Radiation: Cu Kα (weighted mean of Kα1 and Kα2). Structure: a GGA-PBE-relaxed structure.
Kinematic intensities with the Lorentz-polarization factor, no thermal factor.

abc: 7.1341 7.1370 8.8046
angles: 75.43 76.53 70.47
Space group P-1 (No. 2)
Symmetry-distinct sites (fractional):
La  0.0000  0.0000  0.0000 x1
La  0.3213  0.7944  0.6410 x2
La  0.3638  0.2544  0.7379 x2
Nd  0.1440  0.6432  0.3562 x2
Nd  0.2155  0.1477  0.2838 x2
Nd  0.5000  0.5000  0.0000 x1
Sm  0.0000  0.5000  0.0000 x1

Largest 10 diffraction maxima, sorted by position, 2θ from 10° to 80°:
2θ/deg  Rel. int.
30.2  26
30.5  75
30.7  77
30.9  65
31.1  100
31.5  61
31.9  45
33.7  22
44.0  36
55.5  17


# 2
This entry pairs a crystal structure of Li3B4C4 with its calculated PXRD pattern. Radiation: Cu Kα (weighted mean of Kα1 and Kα2). Structure: a GGA-PBE-relaxed structure.
Kinematic intensities with the Lorentz-polarization factor, no thermal factor.

abc: 5.4487 14.2949 9.4522
angles: 90.00 90.00 90.00
Space group Fmm2 (No. 42)
Symmetry-distinct sites (fractional):
Li  0.0000  0.1251  0.0000 x8
Li  0.2494  0.1248  0.2502 x16
B  0.0000  0.0000  0.3359 x4
B  0.0000  0.0000  0.8334 x4
B  0.0000  0.2463  0.6650 x8
B  0.2462  0.0000  0.5824 x8
B  0.2500  0.2500  0.4173 x8
C  0.0000  0.0000  0.1669 x4
C  0.0000  0.0000  0.6673 x4
C  0.0000  0.2454  0.8325 x8
C  0.2503  0.0000  0.4168 x8
C  0.2500  0.2500  0.0830 x8

Largest 10 diffraction maxima, sorted by position, 2θ from 10° to 80°:
2θ/deg  Rel. int.
19.8  2
24.9  100
38.1  3
38.1  6
40.2  2
46.1  54
51.1  17
65.5  1
68.9  18
74.5  10


# 3
This entry pairs a crystal structure of Pu2Zn15Ni2 with its calculated PXRD pattern. Radiation: Cu Kα (weighted mean of Kα1 and Kα2). Structure: a GGA-PBE-relaxed structure.
Kinematic intensities with the Lorentz-polarization factor, no thermal factor.

abc: 8.9278 8.9278 13.0564
angles: 90.00 90.00 120.00
Space group R-3m (No. 166, hexagonal axes)
Symmetry-distinct sites (fractional):
Pu  0.0000  0.0000  0.1635 x6
Zn  0.0000  0.2838  0.5000 x18
Zn  0.0000  0.5000  0.0000 x9
Zn  0.0002  0.5001  0.3504 x18
Ni  0.0000  0.0000  0.3943 x6

Largest 10 diffraction maxima, sorted by position, 2θ from 10° to 80°:
2θ/deg  Rel. int.
28.6  53
34.8  43
36.0  32
40.4  67
40.7  100
41.5  52
41.7  23
58.7  33
59.3  32
75.2  20


# 4
This entry pairs a crystal structure of TiAl2Os3 with its calculated PXRD pattern. Radiation: Cu Kα (weighted mean of Kα1 and Kα2). Structure: a GGA-PBE-relaxed structure.
Kinematic intensities with the Lorentz-polarization factor, no thermal factor.

abc: 3.0681 3.0681 8.9947
angles: 90.00 90.00 90.00
Space group P4/mmm (No. 123)
Symmetry-distinct sites (fractional):
Ti  0.0000  0.0000  0.0000 x1
Al  0.0000  0.0000  0.3362 x2
Os  0.5000  0.5000  0.1695 x2
Os  0.5000  0.5000  0.5000 x1

Largest 10 diffraction maxima, sorted by position, 2θ from 10° to 80°:
2θ/deg  Rel. int.
29.1  64
29.8  30
41.6  52
42.1  100
52.0  27
60.3  17
68.4  12
68.7  12
76.3  35
77.4  17


# 5
This entry pairs a crystal structure of AcH3 with its calculated PXRD pattern. Radiation: Cu Kα (weighted mean of Kα1 and Kα2). Structure: a GGA-PBE-relaxed structure.
Kinematic intensities with the Lorentz-polarization factor, no thermal factor.

abc: 4.0684 4.0684 5.8196
angles: 90.00 90.00 90.00
Space group I4/mmm (No. 139)
Symmetry-distinct sites (fractional):
Ac  0.0000  0.0000  0.0000 x2
H  0.0000  0.0000  0.5000 x2
H  0.0000  0.5000  0.2500 x4

Largest 10 diffraction maxima, sorted by position, 2θ from 10° to 80°:
2θ/deg  Rel. int.
26.7  100
30.7  18
31.1  34
44.3  28
44.5  14
52.2  17
52.7  32
55.1  14
71.0  14
71.4  7


# 6
This entry pairs a crystal structure of Cu2NiPt with its calculated PXRD pattern. Radiation: Cu Kα (weighted mean of Kα1 and Kα2). Structure: a GGA-PBE-relaxed structure.
Kinematic intensities with the Lorentz-polarization factor, no thermal factor.

abc: 3.6812 3.6812 7.4871
angles: 90.00 90.00 90.00
Space group I4/mmm (No. 139)
Symmetry-distinct sites (fractional):
Cu  0.0000  0.5000  0.2500 x4
Ni  0.0000  0.0000  0.0000 x2
Pt  0.0000  0.0000  0.5000 x2

Largest 10 diffraction maxima, sorted by position, 2θ from 10° to 80°:
2θ/deg  Rel. int.
23.8  10
27.0  33
34.5  8
42.3  100
43.8  9
48.6  17
49.5  31
57.3  9
71.9  20
72.6  10


# 7
This entry pairs a crystal structure of Tb3ThSc5 with its calculated PXRD pattern. Radiation: Cu Kα (weighted mean of Kα1 and Kα2). Structure: a GGA-PBE-relaxed structure.
Kinematic intensities with the Lorentz-polarization factor, no thermal factor.

abc: 9.3229 9.3229 3.3519
angles: 90.00 90.00 120.00
Space group P-62m (No. 189)
Symmetry-distinct sites (fractional):
Tb  0.0000  0.3654  0.0000 x3
Th  0.0000  0.0000  0.0000 x1
Sc  0.0000  0.6865  0.5000 x3
Sc  0.3333  0.6667  0.5000 x2

Largest 10 diffraction maxima, sorted by position, 2θ from 10° to 80°:
2θ/deg  Rel. int.
11.0  31
19.0  40
22.0  29
32.9  72
33.3  100
34.8  40
40.0  30
43.1  25
56.8  28
65.6  27


Copy entry 3 word for word.
This entry pairs a crystal structure of Pu2Zn15Ni2 with its calculated PXRD pattern. Radiation: Cu Kα (weighted mean of Kα1 and Kα2). Structure: a GGA-PBE-relaxed structure.
Kinematic intensities with the Lorentz-polarization factor, no thermal factor.

abc: 8.9278 8.9278 13.0564
angles: 90.00 90.00 120.00
Space group R-3m (No. 166, hexagonal axes)
Symmetry-distinct sites (fractional):
Pu  0.0000  0.0000  0.1635 x6
Zn  0.0000  0.2838  0.5000 x18
Zn  0.0000  0.5000  0.0000 x9
Zn  0.0002  0.5001  0.3504 x18
Ni  0.0000  0.0000  0.3943 x6

Largest 10 diffraction maxima, sorted by position, 2θ from 10° to 80°:
2θ/deg  Rel. int.
28.6  53
34.8  43
36.0  32
40.4  67
40.7  100
41.5  52
41.7  23
58.7  33
59.3  32
75.2  20


Copy entry 3 word for word.
This entry pairs a crystal structure of Pu2Zn15Ni2 with its calculated PXRD pattern. Radiation: Cu Kα (weighted mean of Kα1 and Kα2). Structure: a GGA-PBE-relaxed structure.
Kinematic intensities with the Lorentz-polarization factor, no thermal factor.

abc: 8.9278 8.9278 13.0564
angles: 90.00 90.00 120.00
Space group R-3m (No. 166, hexagonal axes)
Symmetry-distinct sites (fractional):
Pu  0.0000  0.0000  0.1635 x6
Zn  0.0000  0.2838  0.5000 x18
Zn  0.0000  0.5000  0.0000 x9
Zn  0.0002  0.5001  0.3504 x18
Ni  0.0000  0.0000  0.3943 x6

Largest 10 diffraction maxima, sorted by position, 2θ from 10° to 80°:
2θ/deg  Rel. int.
28.6  53
34.8  43
36.0  32
40.4  67
40.7  100
41.5  52
41.7  23
58.7  33
59.3  32
75.2  20